# 1
This entry pairs a crystal structure of SiGeMo4N2 with its calculated powder XRD pattern. Radiation: Cu Kα (weighted mean of Kα1 and Kα2). Structure: a crystal structure in OQMD, relaxed with PBE.

Largest 6 diffraction maxima, sorted by position, 2θ from 5° to 70°:
- 2θ = 34.61°, 2.591 Å, I = 23, hkl 1 0 0
- 2θ = 35.30°, 2.543 Å, I = 10, hkl 1 0 1
- 2θ = 40.42°, 2.232 Å, I = 100, hkl 1 0 3
- 2θ = 41.11°, 2.196 Å, I = 15, hkl 0 0 6
- 2θ = 54.80°, 1.675 Å, I = 13, hkl 1 0 6
- 2θ = 62.03°, 1.496 Å, I = 21, hkl 1 1 0

Structure:
Lattice parameters (Å, degrees): 2.9923 2.9923 13.1735 90.00 90.00 120.00
Space group P-6m2 (No. 187)
Inequivalent atoms, fractional coordinates:
Si (0.0000, 0.0000, 0.0000) (multiplicity 1)
Ge (0.3333, 0.6667, 0.5000) (multiplicity 1)
Mo (0.0000, 0.0000, 0.3436) (multiplicity 2)
Mo (0.3333, 0.6667, 0.1467) (multiplicity 2)
N (0.6667, 0.3333, 0.2468) (multiplicity 2)

# 2
This entry pairs a crystal structure of TbSmRe with its calculated powder XRD pattern. Radiation: Cu Kα (weighted mean of Kα1 and Kα2). Structure: a crystal structure in OQMD, relaxed with PBE.

Largest 6 diffraction maxima, sorted by position, 2θ from 5° to 70°:
- 2θ = 22.66°, 3.923 Å, I = 23, hkl 1 1 1
- 2θ = 26.23°, 3.398 Å, I = 19, hkl 2 0 0
- 2θ = 37.43°, 2.403 Å, I = 100, hkl 2 2 0
- 2θ = 44.21°, 2.049 Å, I = 12, hkl 3 1 1
- 2θ = 53.97°, 1.699 Å, I = 18, hkl 4 0 0
- 2θ = 67.53°, 1.387 Å, I = 36, hkl 4 2 2

Structure:
Lattice parameters (Å, degrees): 6.7953 6.7953 6.7953 90.00 90.00 90.00
Space group F-43m (No. 216)
Inequivalent atoms, fractional coordinates:
Tb (0.0000, 0.0000, 0.0000) (multiplicity 4)
Sm (0.2500, 0.2500, 0.7500) (multiplicity 4)
Re (0.0000, 0.0000, 0.5000) (multiplicity 4)

# 3
This entry pairs a crystal structure of K2PdCl4 with its calculated powder XRD pattern. Radiation: Cu Kα (weighted mean of Kα1 and Kα2). Structure: a crystal structure in OQMD, relaxed with PBE.

Largest 6 diffraction maxima, sorted by position, 2θ from 5° to 70°:
- 2θ = 12.47°, 7.099 Å, I = 100, hkl 0 1 0
- 2θ = 25.00°, 3.562 Å, I = 40, hkl 1 1 0
- 2θ = 28.04°, 3.182 Å, I = 86, hkl 1 1 1
- 2θ = 35.76°, 2.511 Å, I = 68, hkl 0 2 2
- 2θ = 46.06°, 1.971 Å, I = 42, hkl 1 3 1
- 2θ = 51.47°, 1.776 Å, I = 31, hkl 0 4 0

Structure:
Lattice parameters (Å, degrees): 4.1180 7.1026 7.0960 90.00 90.00 90.00
Space group Pmm2 (No. 25)
Inequivalent atoms, fractional coordinates:
K (0.0000, 0.0000, 0.0000) (multiplicity 1)
K (0.0000, 0.5000, 0.4973) (multiplicity 1)
Pd (0.5000, 0.5000, 0.9966) (multiplicity 1)
Cl (0.5000, 0.2675, 0.7644) (multiplicity 2)
Cl (0.5000, 0.2679, 0.2293) (multiplicity 2)

# 4
This entry pairs a crystal structure of Lu2AuN with its calculated powder XRD pattern. Radiation: Cu Kα (weighted mean of Kα1 and Kα2). Structure: a crystal structure in OQMD, relaxed with PBE.

Largest 6 diffraction maxima, sorted by position, 2θ from 5° to 70°:
- 2θ = 30.21°, 2.958 Å, I = 24, hkl 0 2 0
- 2θ = 35.73°, 2.513 Å, I = 100, hkl 3 1 2
- 2θ = 37.77°, 2.382 Å, I = 17, hkl 0 0 6
- 2θ = 53.67°, 1.708 Å, I = 22, hkl 6 0 -2
- 2θ = 66.15°, 1.413 Å, I = 17, hkl 6 2 -5
- 2θ = 67.48°, 1.388 Å, I = 19, hkl 6 0 -8

Structure:
Lattice parameters (Å, degrees): 10.2480 5.9158 14.6971 90.00 103.47 90.00
Space group C2/c (No. 15)
Inequivalent atoms, fractional coordinates:
Lu (0.0509, 0.0826, 0.4044) (multiplicity 8)
Lu (0.1145, 0.4163, 0.5929) (multiplicity 8)
Lu (0.2194, 0.4175, 0.9071) (multiplicity 8)
Au (0.0000, 0.4255, 0.2500) (multiplicity 4)
Au (0.1703, 0.0885, 0.7499) (multiplicity 8)
N (0.0831, 0.2492, 0.0000) (multiplicity 8)
N (0.2500, 0.2500, 0.5000) (multiplicity 4)